No. 1
Diffraction record for BaMg2. The PXRD pattern is calculated, not measured: it uses DFT lattice parameters and positions (GGA-PBE) and Cu Kα (λ = 1.5418 Å).
Peak positions follow from Bragg's law for the DFT cell and can differ from measured ones.

Cell and atoms:
Unit cell a=6.6567 b=6.6567 c=10.5998 alpha=90.00 beta=90.00 gamma=120.00
Atoms (fractional coordinates):
1 Ba 0.3333 0.6667 0.0568
2 Ba 0.3333 0.6667 0.4432
3 Ba 0.6667 0.3333 0.5568
4 Ba 0.6667 0.3333 0.9432
5 Mg 0.0000 0.0000 0.0000
6 Mg 0.0000 0.0000 0.5000
7 Mg 0.1619 0.3238 0.7500
8 Mg 0.1619 0.8381 0.7500
9 Mg 0.3238 0.1619 0.2500
10 Mg 0.6762 0.8381 0.7500
11 Mg 0.8381 0.1619 0.2500
12 Mg 0.8381 0.6762 0.2500

The 12 most intense peaks (2θ from 10° to 80°), sorted by position:
two_theta  I_rel
15.4  36
16.7  27
17.5  23
22.8  29
26.8  86
29.7  93
31.7  100
32.2  33
45.6  23
49.1  47
50.5  27
53.7  29

---

No. 2
Diffraction record for Sm3Y4Er4. The PXRD pattern is calculated, not measured: it uses DFT lattice parameters and positions (GGA-PBE) and Cu Kα (λ = 1.5418 Å).
Peak positions follow from Bragg's law for the DFT cell and can differ from measured ones.

Cell and atoms:
Unit cell a=10.5541 b=6.6578 c=6.6578 alpha=50.53 beta=90.00 gamma=90.00
Atoms (fractional coordinates):
1 Sm 0.0000 0.0000 0.0000
2 Sm 0.2894 0.1545 0.1545
3 Sm 0.7106 0.1545 0.1545
4 Y 0.0000 0.7058 0.7058
5 Y 0.2101 0.4953 0.4953
6 Y 0.5000 0.6322 0.6322
7 Y 0.7899 0.4953 0.4953
8 Er 0.0000 0.2972 0.2972
9 Er 0.2993 0.8501 0.8501
10 Er 0.5000 0.3597 0.3597
11 Er 0.7007 0.8501 0.8501

The 12 most intense peaks (2θ from 10° to 80°), sorted by position:
two_theta  I_rel
24.2  10
25.3  7
30.8  47
31.5  38
32.1  100
34.0  15
44.7  12
47.0  12
53.0  10
56.5  22
62.3  14
62.9  12

---

No. 3
Diffraction record for SrLiLa2Se4. The PXRD pattern is calculated, not measured: it uses DFT lattice parameters and positions (GGA-PBE) and Cu Kα (λ = 1.5418 Å).
Peak positions follow from Bragg's law for the DFT cell and can differ from measured ones.

Cell and atoms:
Unit cell a=7.4312 b=7.4312 c=14.8899 alpha=90.00 beta=90.00 gamma=146.70
Atoms (fractional coordinates):
1 Sr 0.1162 0.8838 0.7500
2 Sr 0.8838 0.1162 0.2500
3 Li 0.1518 0.8482 0.2500
4 Li 0.8482 0.1518 0.7500
5 La 0.3696 0.6304 0.5585
6 La 0.3696 0.6304 0.9415
7 La 0.6304 0.3696 0.0585
8 La 0.6304 0.3696 0.4415
9 Se 0.0000 0.0000 0.0000
10 Se 0.0000 0.0000 0.5000
11 Se 0.2732 0.7268 0.1238
12 Se 0.2732 0.7268 0.3762
13 Se 0.4490 0.5510 0.7500
14 Se 0.5510 0.4490 0.2500
15 Se 0.7268 0.2732 0.6238
16 Se 0.7268 0.2732 0.8762

The 12 most intense peaks (2θ from 10° to 80°), sorted by position:
two_theta  I_rel
11.9  24
21.8  80
27.0  55
28.2  36
28.8  91
30.7  100
32.6  29
37.4  73
39.9  36
42.3  80
42.5  41
61.4  27

---

No. 4
Diffraction record for ThMgNb. The PXRD pattern is calculated, not measured: it uses DFT lattice parameters and positions (GGA-PBE) and Cu Kα (λ = 1.5418 Å).
Peak positions follow from Bragg's law for the DFT cell and can differ from measured ones.

Cell and atoms:
Unit cell a=10.9243 b=5.0431 c=5.5010 alpha=90.00 beta=97.52 gamma=90.00
Atoms (fractional coordinates):
1 Th 0.1279 0.0000 0.3186
2 Th 0.3721 0.5000 0.6814
3 Th 0.6279 0.5000 0.3186
4 Th 0.8721 0.0000 0.6814
5 Mg 0.0690 0.5000 0.7645
6 Mg 0.4310 0.0000 0.2355
7 Mg 0.5690 0.0000 0.7645
8 Mg 0.9310 0.5000 0.2355
9 Nb 0.2168 0.0000 0.8654
10 Nb 0.2832 0.5000 0.1346
11 Nb 0.7168 0.5000 0.8654
12 Nb 0.7832 0.0000 0.1346

The 12 most intense peaks (2θ from 10° to 80°), sorted by position:
two_theta  I_rel
19.4  100
24.6  56
26.1  42
30.5  78
33.1  91
34.8  24
35.6  59
36.3  33
37.5  74
43.8  24
50.7  47
65.2  22

---

No. 5
Diffraction record for Ca2TaNbPt. The PXRD pattern is calculated, not measured: it uses DFT lattice parameters and positions (GGA-PBE) and Cu Kα (λ = 1.5418 Å).
Peak positions follow from Bragg's law for the DFT cell and can differ from measured ones.

Cell and atoms:
Unit cell a=5.3453 b=5.3453 c=4.8287 alpha=90.00 beta=90.00 gamma=90.00
Atoms (fractional coordinates):
1 Ca 0.0000 0.5000 0.0000
2 Ca 0.5000 0.0000 0.0000
3 Ta 0.0000 0.0000 0.5000
4 Nb 0.5000 0.5000 0.0000
5 Pt 0.5000 0.5000 0.5000

The 12 most intense peaks (2θ from 10° to 80°), sorted by position:
two_theta  I_rel
18.4  20
23.5  100
30.0  98
33.5  86
37.2  32
44.5  38
48.1  31
51.0  52
54.3  22
57.8  31
62.4  28
67.7  23

---

No. 6
Diffraction record for Pm3Al6Ag5. The PXRD pattern is calculated, not measured: it uses DFT lattice parameters and positions (GGA-PBE) and Cu Kα (λ = 1.5418 Å).
Peak positions follow from Bragg's law for the DFT cell and can differ from measured ones.

Cell and atoms:
Unit cell a=8.4881 b=8.4881 c=8.4881 alpha=149.57 beta=108.76 gamma=79.41
Atoms (fractional coordinates):
1 Pm 0.0000 0.0000 0.0000
2 Pm 0.3002 0.3002 0.0000
3 Pm 0.6998 0.6998 0.0000
4 Al 0.1498 0.8690 0.2809
5 Al 0.3050 0.5000 0.8050
6 Al 0.4119 0.1310 0.2809
7 Al 0.5881 0.8690 0.7191
8 Al 0.6950 0.5000 0.1950
9 Al 0.8502 0.1310 0.7191
10 Ag 0.0202 0.6643 0.3559
11 Ag 0.3084 0.6643 0.6441
12 Ag 0.5000 0.0000 0.5000
13 Ag 0.6916 0.3357 0.3559
14 Ag 0.9798 0.3357 0.6441

The 12 most intense peaks (2θ from 10° to 80°), sorted by position:
two_theta  I_rel
17.9  21
28.7  100
32.9  23
33.8  56
34.1  96
35.3  18
36.6  32
40.5  41
41.5  22
42.4  18
54.0  24
63.9  19